1.
Calculated X-ray diffraction stick pattern of MnFeNiO4 for a wavelength of 1.5418 Å, from the PBE+U geometry in Alexandria.
Neutral-atom scattering factors, no anomalous dispersion.

Cell: 5.9702 5.9702 5.9702 Å, 119.17 118.00 92.48°
Sites, in units of the cell vectors:
Mn 0.0000 0.0000 0.0000
Mn 0.5000 0.0000 0.5000
Fe 0.3828 0.6328 0.7500
Fe 0.6172 0.3672 0.2500
Ni 0.0000 0.0000 0.5000
Ni 0.0000 0.5000 0.0000
O 0.2235 0.2353 0.9883
O 0.2504 0.2415 0.4911
O 0.2504 0.7594 0.0089
O 0.2530 0.7647 0.4883
O 0.7470 0.2353 0.5117
O 0.7496 0.2406 0.9911
O 0.7496 0.7585 0.5089
O 0.7765 0.7647 0.0117

Principal peaks in the range 2θ from 10° to 90°, sorted by position:
| 2θ (°) | Rel. int. |
| --- | --- |
| 29.96 | 47 |
| 34.48 | 85 |
| 34.81 | 100 |
| 35.73 | 44 |
| 35.84 | 38 |
| 41.91 | 40 |
| 55.28 | 28 |
| 57.83 | 22 |
| 60.19 | 22 |
| 62.27 | 77 |

=====

2.
Calculated X-ray diffraction stick pattern of Mn2Fe3NiP6O24 for a wavelength of 1.5418 Å, from the PBE+U geometry in Alexandria.
Neutral-atom scattering factors, no anomalous dispersion.

Cell: 8.5820 8.5820 8.5820 Å, 60.49 60.49 60.49°
Sites, in units of the cell vectors:
Mn 0.0000 0.0000 0.0000
Mn 0.4997 0.4997 0.4997
Fe 0.3544 0.3544 0.3544
Fe 0.6449 0.6449 0.6449
Fe 0.8538 0.8538 0.8538
Ni 0.1424 0.1424 0.1424
P 0.0439 0.7491 0.4540
P 0.2484 0.5444 0.9551
P 0.4540 0.0439 0.7491
P 0.5444 0.9551 0.2484
P 0.7491 0.4540 0.0439
P 0.9551 0.2484 0.5444
O 0.0014 0.8194 0.6080
O 0.0568 0.9072 0.2560
O 0.0873 0.7429 0.9425
O 0.1104 0.3166 0.5015
O 0.1812 0.3932 0.9890
O 0.2416 0.5887 0.4409
O 0.2560 0.0568 0.9072
O 0.3166 0.5015 0.1104
O 0.3932 0.9890 0.1812
O 0.4084 0.5641 0.7559
O 0.4409 0.2416 0.5887
O 0.4982 0.8900 0.6778
O 0.5015 0.1104 0.3166
O 0.5641 0.7559 0.4084
O 0.5887 0.4409 0.2416
O 0.6080 0.0014 0.8194
O 0.6778 0.4982 0.8900
O 0.7429 0.9425 0.0873
O 0.7559 0.4084 0.5641
O 0.8194 0.6080 0.0014
O 0.8900 0.6778 0.4982
O 0.9072 0.2560 0.0568
O 0.9425 0.0873 0.7429
O 0.9890 0.1812 0.3932

Principal peaks in the range 2θ from 10° to 90°, sorted by position:
| 2θ (°) | Rel. int. |
| --- | --- |
| 20.55 | 87 |
| 24.22 | 100 |
| 25.26 | 15 |
| 31.91 | 15 |
| 32.98 | 73 |
| 35.99 | 45 |
| 47.30 | 30 |
| 49.61 | 28 |
| 56.31 | 27 |
| 62.79 | 21 |

=====

3.
Calculated X-ray diffraction stick pattern of Mn3FeNi2P6O24 for a wavelength of 1.5418 Å, from the PBE+U geometry in Alexandria.
Neutral-atom scattering factors, no anomalous dispersion.

Cell: 8.4236 8.4236 8.4236 Å, 60.78 60.78 60.78°
Sites, in units of the cell vectors:
Mn 0.0000 0.0000 0.0000
Mn 0.2166 0.2166 0.2166
Mn 0.7165 0.7165 0.7165
Fe 0.4992 0.4992 0.4992
Ni 0.3587 0.3587 0.3587
Ni 0.8579 0.8579 0.8579
P 0.1102 0.8157 0.3989
P 0.3162 0.6089 0.8993
P 0.3989 0.1102 0.8157
P 0.6089 0.8993 0.3162
P 0.8157 0.3989 0.1102
P 0.8993 0.3162 0.6089
O 0.0432 0.8540 0.2397
O 0.1027 0.2958 0.4494
O 0.1150 0.7763 0.9125
O 0.1761 0.9726 0.3643
O 0.2397 0.0432 0.8540
O 0.2704 0.6151 0.4140
O 0.2958 0.4494 0.1027
O 0.3484 0.5492 0.7403
O 0.3643 0.1761 0.9726
O 0.4140 0.2704 0.6151
O 0.4494 0.1027 0.2958
O 0.4743 0.6695 0.8704
O 0.5492 0.7403 0.3484
O 0.5985 0.9455 0.8054
O 0.6151 0.4140 0.2704
O 0.6695 0.8704 0.4743
O 0.7403 0.3484 0.5492
O 0.7763 0.9125 0.1150
O 0.8054 0.5985 0.9455
O 0.8540 0.2397 0.0432
O 0.8704 0.4743 0.6695
O 0.9125 0.1150 0.7763
O 0.9455 0.8054 0.5985
O 0.9726 0.3643 0.1761

Principal peaks in the range 2θ from 10° to 90°, sorted by position:
| 2θ (°) | Rel. int. |
| --- | --- |
| 20.85 | 98 |
| 24.62 | 100 |
| 25.66 | 21 |
| 33.61 | 70 |
| 36.52 | 41 |
| 48.21 | 38 |
| 50.47 | 26 |
| 57.20 | 26 |
| 57.62 | 19 |
| 63.89 | 21 |

=====

What did the second record say?
Calculated X-ray diffraction stick pattern of Mn2Fe3NiP6O24 for a wavelength of 1.5418 Å, from the PBE+U geometry in Alexandria.
Neutral-atom scattering factors, no anomalous dispersion.

Cell: 8.5820 8.5820 8.5820 Å, 60.49 60.49 60.49°
Sites, in units of the cell vectors:
Mn 0.0000 0.0000 0.0000
Mn 0.4997 0.4997 0.4997
Fe 0.3544 0.3544 0.3544
Fe 0.6449 0.6449 0.6449
Fe 0.8538 0.8538 0.8538
Ni 0.1424 0.1424 0.1424
P 0.0439 0.7491 0.4540
P 0.2484 0.5444 0.9551
P 0.4540 0.0439 0.7491
P 0.5444 0.9551 0.2484
P 0.7491 0.4540 0.0439
P 0.9551 0.2484 0.5444
O 0.0014 0.8194 0.6080
O 0.0568 0.9072 0.2560
O 0.0873 0.7429 0.9425
O 0.1104 0.3166 0.5015
O 0.1812 0.3932 0.9890
O 0.2416 0.5887 0.4409
O 0.2560 0.0568 0.9072
O 0.3166 0.5015 0.1104
O 0.3932 0.9890 0.1812
O 0.4084 0.5641 0.7559
O 0.4409 0.2416 0.5887
O 0.4982 0.8900 0.6778
O 0.5015 0.1104 0.3166
O 0.5641 0.7559 0.4084
O 0.5887 0.4409 0.2416
O 0.6080 0.0014 0.8194
O 0.6778 0.4982 0.8900
O 0.7429 0.9425 0.0873
O 0.7559 0.4084 0.5641
O 0.8194 0.6080 0.0014
O 0.8900 0.6778 0.4982
O 0.9072 0.2560 0.0568
O 0.9425 0.0873 0.7429
O 0.9890 0.1812 0.3932

Principal peaks in the range 2θ from 10° to 90°, sorted by position:
| 2θ (°) | Rel. int. |
| --- | --- |
| 20.55 | 87 |
| 24.22 | 100 |
| 25.26 | 15 |
| 31.91 | 15 |
| 32.98 | 73 |
| 35.99 | 45 |
| 47.30 | 30 |
| 49.61 | 28 |
| 56.31 | 27 |
| 62.79 | 21 |